Computed powder diffractogram
Compound: NbTl2F6
Radiation: λ = 1.5418 Å (Cu Kα)
Structure: a crystal structure in Alexandria, relaxed with PBE
Peak positions follow from Bragg's law for the DFT cell and can differ from measured ones.

abc: 5.8143 5.8143 11.8652
angles: 90.00 90.00 90.00
Space group P4_2/mnm (No. 136)
Unique sites:
Nb1 0.0000 0.0000 0.0000
Tl1 0.0000 0.0000 0.3334
F1 0.1671 0.1671 0.1284
F2 0.2388 0.7612 0.0000

Most intense lines, 15° ≤ 2θ ≤ 90°, by angle:
hkl, 2theta, d [Å], intensity
1 1 0, 21.62, 4.111, 100
1 0 3, 27.27, 3.270, 93
2 0 0, 30.76, 2.907, 27
2 1 3, 41.56, 2.173, 71
3 0 3, 52.59, 1.740, 21
3 2 3, 62.16, 1.493, 19